La7Pr2Dy4: simulated powder X-ray diffraction pattern (a wavelength of 1.5418 Å), based on a crystal structure in Alexandria, relaxed with PBE.

Structure:
```
La7Pr2Dy4
1.0
6.3253 0.0000 0.0000
-3.1627 5.4779 0.0000
0.0000 0.0000 13.1743
La Pr Dy
7 2 4
Cartesian
0.0000 0.0000 0.0000
-1.2088 2.0937 3.0514
-1.9539 3.3842 10.1229
2.4176 0.0000 3.0514
1.2088 2.0937 10.1229
3.9078 0.0000 10.1229
1.9539 3.3842 3.0514
0.0000 3.6519 0.0000
3.1627 1.8260 0.0000
0.0000 0.0000 5.1387
0.0000 0.0000 8.0356
0.0000 3.6519 6.5871
3.1627 1.8260 6.5871
```

Largest 10 diffraction maxima, most intense first, 10° ≤ 2θ ≤ 80°:
2θ 31.4, d = 2.851 Å, rel. 100, hkl 2 -1 2
2θ 29.0, d = 3.075 Å, rel. 39, hkl 1 1 1
2θ 35.0, d = 2.566 Å, rel. 27, hkl 1 1 3
2θ 49.9, d = 1.826 Å, rel. 27, hkl 3 0 0
2θ 27.1, d = 3.294 Å, rel. 24, hkl 0 0 4
2θ 31.7, d = 2.823 Å, rel. 23, hkl 1 0 4
2θ 28.2, d = 3.163 Å, rel. 22, hkl 1 1 0
2θ 50.6, d = 1.804 Å, rel. 17, hkl 2 -1 6
2θ 26.0, d = 3.426 Å, rel. 14, hkl 1 0 3
2θ 57.7, d = 1.597 Å, rel. 12, hkl 3 0 4